1.
This entry pairs a crystal structure of PrTe2O7 with its simulated X-ray diffraction stick pattern. Radiation: Cu Kα (weighted mean of Kα1 and Kα2). Structure: a DFT-relaxed cell (GGA-PBE, Alexandria).

Structural model:
abc: 6.0241 6.0241 3.9055
angles: 90.00 90.00 113.73
Positions (direct):
Pr1 0.0000 0.0000 0.0000
Te1 0.3033 0.6967 0.5000
Te2 0.6967 0.3033 0.5000
O1 0.0471 0.3170 0.5000
O2 0.2762 0.7238 0.0000
O3 0.3170 0.0471 0.5000
O4 0.5000 0.5000 0.5000
O5 0.6830 0.9529 0.5000
O6 0.7238 0.2762 0.0000
O7 0.9529 0.6830 0.5000

Most intense lines, 2θ = 10–80°, sorted by position:
d (Å)  Position (°2θ)  I (rel.)
3.293  27.08  92
3.187  27.99  100
3.088  28.91  85
2.995  29.83  97
2.253  40.03  66
1.953  46.50  33
1.880  48.41  35
1.838  49.59  36
1.730  52.93  56
1.636  56.23  33

2.
This entry pairs a crystal structure of CaEr5Tl4 with its simulated X-ray diffraction stick pattern. Radiation: Cu Kα (weighted mean of Kα1 and Kα2). Structure: a DFT-relaxed cell (GGA-PBE, Alexandria).

Structural model:
abc: 8.9801 8.9801 9.2845
angles: 91.59 91.59 24.02
Positions (direct):
Ca1 0.0000 0.0000 0.0000
Er1 0.0000 0.0000 0.5000
Er2 0.3049 0.3049 0.3846
Er3 0.3517 0.3517 0.7707
Er4 0.6483 0.6483 0.2293
Er5 0.6951 0.6951 0.6154
Tl1 0.1794 0.1794 0.9225
Tl2 0.4648 0.4648 0.2516
Tl3 0.5352 0.5352 0.7484
Tl4 0.8206 0.8206 0.0775

Most intense lines, 2θ = 10–80°, sorted by position:
d (Å)  Position (°2θ)  I (rel.)
2.969  30.10  23
2.927  30.55  25
2.864  31.24  100
2.769  32.33  18
2.563  35.01  20
2.496  35.99  18
2.481  36.21  39
2.261  39.88  17
2.227  40.50  18
1.884  48.32  17

3.
This entry pairs a crystal structure of Pm5PtRh2 with its simulated X-ray diffraction stick pattern. Radiation: Cu Kα (weighted mean of Kα1 and Kα2). Structure: a DFT-relaxed cell (GGA-PBE, Alexandria).

Structural model:
abc: 8.8238 8.8238 8.8238
angles: 128.60 128.60 75.66
Positions (direct):
Pm1 0.0000 0.0000 0.0000
Pm2 0.0281 0.5281 0.8392
Pm3 0.1889 0.0281 0.5000
Pm4 0.3111 0.8111 0.8392
Pm5 0.4719 0.3111 0.5000
Pm6 0.5000 0.5000 0.0000
Pm7 0.5281 0.6889 0.5000
Pm8 0.6889 0.1889 0.1608
Pm9 0.8111 0.9719 0.5000
Pm10 0.9719 0.4719 0.1608
Pt1 0.2500 0.2500 0.0000
Pt2 0.7500 0.7500 0.0000
Rh1 0.1320 0.3680 0.5000
Rh2 0.3680 0.8680 0.2360
Rh3 0.6320 0.1320 0.7640
Rh4 0.8680 0.6320 0.5000

Most intense lines, 2θ = 10–80°, sorted by position:
d (Å)  Position (°2θ)  I (rel.)
2.930  30.51  27
2.756  32.49  100
2.706  33.11  21
2.576  34.82  52
2.420  37.15  64
1.723  53.16  23
1.602  57.53  18
1.414  66.08  18
1.379  68.01  13
1.359  69.15  18

4.
This entry pairs a crystal structure of Pr3Cd2Au4 with its simulated X-ray diffraction stick pattern. Radiation: Cu Kα (weighted mean of Kα1 and Kα2). Structure: a DFT-relaxed cell (GGA-PBE, Alexandria).

Structural model:
abc: 6.1221 6.1221 9.1585
angles: 114.97 114.97 46.28
Positions (direct):
Pr1 0.0000 0.0000 0.0000
Pr2 0.3516 0.3516 0.3124
Pr3 0.6484 0.6484 0.6876
Cd1 0.3533 0.3533 0.6862
Cd2 0.6467 0.6467 0.3138
Au1 0.0681 0.0681 0.4003
Au2 0.2785 0.2785 0.9386
Au3 0.7215 0.7215 0.0614
Au4 0.9319 0.9319 0.5997

Most intense lines, 2θ = 10–80°, sorted by position:
d (Å)  Position (°2θ)  I (rel.)
3.588  24.81  21
2.775  32.26  24
2.740  32.68  64
2.711  33.05  83
2.443  36.79  100
2.406  37.38  53
2.000  45.35  19
1.800  50.73  18
1.446  64.43  16
1.396  67.04  17

5.
This entry pairs a crystal structure of CsCeZnO4 with its simulated X-ray diffraction stick pattern. Radiation: Cu Kα (weighted mean of Kα1 and Kα2). Structure: a DFT-relaxed cell (GGA-PBE, Alexandria).

Structural model:
abc: 5.7242 5.9106 8.0129
angles: 90.00 98.62 90.00
Positions (direct):
Cs1 0.2047 0.2500 0.0974
Cs2 0.7953 0.7500 0.9026
Ce1 0.1895 0.7500 0.4616
Ce2 0.8105 0.2500 0.5384
Zn1 0.3517 0.2500 0.6760
Zn2 0.6483 0.7500 0.3240
O1 0.1145 0.0092 0.6625
O2 0.1145 0.4908 0.6625
O3 0.3289 0.7500 0.2164
O4 0.4409 0.2500 0.4408
O5 0.5591 0.7500 0.5592
O6 0.6711 0.2500 0.7836
O7 0.8855 0.5092 0.3375
O8 0.8855 0.9908 0.3375

Most intense lines, 2θ = 10–80°, sorted by position:
d (Å)  Position (°2θ)  I (rel.)
7.922  11.17  51
3.804  23.38  45
3.501  25.44  33
3.482  25.58  100
3.291  27.10  78
2.955  30.24  66
2.531  35.46  30
2.338  38.51  35
1.863  48.88  29
1.798  50.76  26

6.
This entry pairs a crystal structure of TbNd2DyTm5 with its simulated X-ray diffraction stick pattern. Radiation: Cu Kα (weighted mean of Kα1 and Kα2). Structure: a DFT-relaxed cell (GGA-PBE, Alexandria).

Structural model:
abc: 9.8430 9.8430 9.8430
angles: 128.27 128.27 76.18
Positions (direct):
Tb1 0.2500 0.2500 0.0000
Tb2 0.7500 0.7500 0.0000
Nd1 0.1175 0.6175 0.7349
Nd2 0.3825 0.1175 0.5000
Nd3 0.6175 0.8825 0.5000
Nd4 0.8825 0.3825 0.2651
Dy1 0.2500 0.7500 0.5000
Dy2 0.7500 0.2500 0.5000
Tm1 0.0000 0.0000 0.0000
Tm2 0.0723 0.1478 0.5000
Tm3 0.1478 0.6478 0.0756
Tm4 0.3522 0.4277 0.5000
Tm5 0.4277 0.9277 0.0756
Tm6 0.5000 0.5000 0.0000
Tm7 0.5723 0.0723 0.9244
Tm8 0.6478 0.5723 0.5000
Tm9 0.8522 0.3522 0.9244
Tm10 0.9277 0.8522 0.5000

Most intense lines, 2θ = 10–80°, sorted by position:
d (Å)  Position (°2θ)  I (rel.)
3.082  28.97  44
3.036  29.42  53
2.876  31.10  100
2.716  32.98  12
2.354  38.23  14
1.937  46.91  11
1.932  47.05  10
1.720  53.24  24
1.633  56.35  13
1.517  61.07  15

7.
This entry pairs a crystal structure of KIn3Te3 with its simulated X-ray diffraction stick pattern. Radiation: Cu Kα (weighted mean of Kα1 and Kα2). Structure: a DFT-relaxed cell (GGA-PBE, Alexandria).

Structural model:
abc: 11.2315 11.2315 4.3528
angles: 90.00 90.00 120.00
Positions (direct):
K1 0.3333 0.6667 0.2500
K2 0.6667 0.3333 0.7500
In1 0.0408 0.2314 0.7500
In2 0.1906 0.9592 0.7500
In3 0.2314 0.1906 0.2500
In4 0.7686 0.8094 0.7500
In5 0.8094 0.0408 0.2500
In6 0.9592 0.7686 0.2500
Te1 0.0525 0.6447 0.7500
Te2 0.3553 0.4078 0.7500
Te3 0.4078 0.0525 0.2500
Te4 0.5922 0.9475 0.7500
Te5 0.6447 0.5922 0.2500
Te6 0.9475 0.3553 0.2500

Most intense lines, 2θ = 10–80°, sorted by position:
d (Å)  Position (°2θ)  I (rel.)
5.616  15.78  25
3.676  24.21  26
3.243  27.50  33
2.809  31.86  100
2.360  38.14  19
2.231  40.42  24
2.176  41.49  17
2.123  42.59  23
1.558  59.31  17
1.324  71.23  14

8.
This entry pairs a crystal structure of Ho2B4Os3 with its simulated X-ray diffraction stick pattern. Radiation: Cu Kα (weighted mean of Kα1 and Kα2). Structure: a DFT-relaxed cell (GGA-PBE, Alexandria).

Structural model:
abc: 6.6454 5.6058 5.3755
angles: 74.45 54.36 51.20
Positions (direct):
Ho1 0.1574 0.1574 0.8426
Ho2 0.8426 0.8426 0.1574
B1 0.1182 0.5503 0.4497
B2 0.4497 0.8818 0.1182
B3 0.5503 0.1182 0.8818
B4 0.8818 0.4497 0.5503
Os1 0.0000 0.0000 0.5000
Os2 0.5000 0.5000 0.0000
Os3 0.5000 0.5000 0.5000

Most intense lines, 2θ = 10–80°, sorted by position:
d (Å)  Position (°2θ)  I (rel.)
4.832  18.36  62
3.317  26.88  27
2.679  33.45  85
2.413  37.27  100
2.281  39.50  45
2.158  41.85  37
2.062  43.92  59
1.608  57.31  19
1.340  70.24  44
1.316  71.74  15